Structure and computed PXRD pattern of LiNpCoH6 (DFT lattice parameters and positions (PBE); copper Kα).

Atomic structure:
```
data_LiNpCoH6
_chemical_formula_sum 'Li1 Np1 Co1 H6'
_symmetry_space_group_name_H-M 'P -6 m 2'
_symmetry_Int_Tables_number 187
_symmetry_space_group_name_Hall 'P -6 2'
_cell_length_a 4.3174
_cell_length_b 4.3174
_cell_length_c 4.1951
_cell_angle_alpha 90.00
_cell_angle_beta 90.00
_cell_angle_gamma 120.00
loop_
_atom_site_label
_atom_site_fract_x
_atom_site_fract_y
_atom_site_fract_z
Li1 0.0000 0.0000 0.0000
Np1 0.6667 0.3333 0.5000
Co1 0.3333 0.6667 0.0000
H1 0.1798 0.3597 0.2651
```

Principal peaks in the range 2θ = 10–90°, low angle first:
d 4.195, I = 17
d 3.739, I = 57
d 2.791, I = 100
d 2.159, I = 30
d 1.919, I = 13
d 1.829, I = 18
d 1.708, I = 24
d 1.504, I = 19
d 1.339, I = 21
d 1.310, I = 10